# Cs2CuH5
Calculated PXRD pattern, Cu Kα X-rays. Input: a GGA-PBE-relaxed structure.
Lines closer than 0.1° are merged.

Most intense lines, 2θ = 10–90°, in order of falling intensity:
| hkl | 2θ (°) | I (rel.) |
| --- | --- | --- |
| 1 1 2 | 28.2 | 100 |
| 2 0 0 | 28.6 | 49 |
| 3 1 2 | 50.3 | 38 |
| 1 1 0 | 20.1 | 38 |
| 2 0 2 | 34.8 | 21 |
| 0 0 2 | 19.5 | 21 |
| 2 0 4 | 49.6 | 19 |
| 2 2 0 | 40.8 | 19 |
| 1 0 1 | 17.2 | 17 |
| 2 2 4 | 58.2 | 12 |

Cell and atoms:
Cell: 6.2525 6.2525 9.0936 Å, 90.00 90.00 90.00°
Space group I4mm (No. 107)
Asymmetric unit:
1 Cs 0.0000 0.5000 0.0000
2 Cu 0.0000 0.0000 0.2220
3 H 0.0000 0.0000 0.0318
4 H 0.1694 0.1694 0.2553